# 1
Calculated powder diffractogram
Compound: Sr4LiMn2Ga2O11
Radiation: copper Kα
Structure: DFT lattice parameters and positions (GGA+U)
Intensities are scaled so that the largest is 100.

Structural model:
a b c (Å): 7.9976 7.7830 8.8631
angles (deg): 90.00 115.98 90.00
Space group C2/m (No. 12)
Unique sites:
Sr: 0.1146 0.0000 0.2373 [4 per cell]
Sr: 0.1569 0.5000 0.2976 [4 per cell]
Li: 0.0000 0.5000 0.0000 [2 per cell]
Mn: 0.2500 0.2500 0.0000 [4 per cell]
Ga: 0.0000 0.2382 0.5000 [4 per cell]
O: 0.0000 0.0000 0.5000 [2 per cell]
O: 0.0000 0.2480 0.0000 [4 per cell]
O: 0.1178 0.2981 0.7392 [8 per cell]
O: 0.2408 0.0000 0.9509 [4 per cell]
O: 0.2500 0.2500 0.5000 [4 per cell]

Largest 8 diffraction maxima, low angle first, 10 to 90 degrees two-theta:
31.5°, d 2.843, I = 19.9; 31.9°, d 2.802, I = 20.4; 32.1°, d 2.786, I = 100.0; 45.4°, d 1.999, I = 19.0; 45.5°, d 1.992, I = 16.2; 46.7°, d 1.946, I = 16.5; 57.0°, d 1.616, I = 10.2; 67.1°, d 1.394, I = 9.5


# 2
Calculated powder diffractogram
Compound: Sr4LiMn2Ga2O11
Radiation: copper Kα
Structure: DFT lattice parameters and positions (GGA+U)
Intensities are scaled so that the largest is 100.

Structural model:
a b c (Å): 7.8465 8.3519 15.2395
angles (deg): 90.00 90.00 90.00
Space group Fmm2 (No. 42)
Unique sites:
Sr: 0.0000 0.2134 0.0000 [8 per cell]
Sr: 0.0000 0.2492 0.2486 [8 per cell]
Li: 0.0000 0.0000 0.4578 [4 per cell]
Mn: 0.2443 0.0000 0.8639 [8 per cell]
Ga: 0.2373 0.0000 0.1226 [8 per cell]
O: 0.0000 0.0000 0.1193 [4 per cell]
O: 0.0000 0.0000 0.3428 [4 per cell]
O: 0.0000 0.0000 0.8904 [4 per cell]
O: 0.1916 0.0000 0.7403 [8 per cell]
O: 0.2073 0.0000 0.4988 [8 per cell]
O: 0.2500 0.2500 0.1198 [8 per cell]
O: 0.2500 0.2500 0.3692 [8 per cell]

Largest 8 diffraction maxima, low angle first, 10 to 90 degrees two-theta:
31.3°, d 2.859, I = 91.9; 31.8°, d 2.815, I = 80.0; 32.8°, d 2.733, I = 100.0; 43.3°, d 2.088, I = 34.9; 46.3°, d 1.962, I = 29.8; 55.4°, d 1.659, I = 33.9; 57.2°, d 1.609, I = 34.3; 58.2°, d 1.585, I = 32.9